# 1
# Ca2TiSi2Rh5
Theoretical X-ray powder pattern, Cu Kα (weighted mean of Kα1 and Kα2). Input: a cell relaxed with PBE.
Intensities are scaled so that the largest is 100.

Main lines, by angle (15° ≤ 2θ ≤ 90°):
- hkl 2 1 0, d 4.459, 19.91°, intensity 20
- hkl 0 0 1, d 3.286, 27.14°, intensity 34
- hkl 3 2 0, d 2.765, 32.38°, intensity 21
- hkl 2 1 1, d 2.645, 33.89°, intensity 22
- hkl 4 1 0, d 2.418, 37.18°, intensity 62
- hkl 2 2 1, d 2.404, 37.42°, intensity 22
- hkl 3 1 1, d 2.275, 39.62°, intensity 100
- hkl 4 2 0, d 2.229, 40.46°, intensity 28
- hkl 3 2 1, d 2.116, 42.74°, intensity 47
- hkl 4 1 1, d 1.948, 46.64°, intensity 24
- hkl 0 0 2, d 1.643, 55.97°, intensity 19
- hkl 7 1 1, d 1.296, 73.02°, intensity 23

Structure:
```
data_Ca2TiSi2Rh5
_cell_length_a 9.9701
_cell_length_b 9.9701
_cell_length_c 3.2858
_cell_angle_alpha 90.00
_cell_angle_beta 90.00
_cell_angle_gamma 90.00
_space_group_name_H-M_alt 'P 4/m b m'
_space_group_IT_number 127
_space_group_name_Hall '-P 4 2ab'
loop_
_atom_site_label
_atom_site_type_symbol
_atom_site_fract_x
_atom_site_fract_y
_atom_site_fract_z
Ca1 Ca 0.1731 0.3269 0.0000
Ti1 Ti 0.0000 0.0000 0.0000
Si1 Si 0.1263 0.6263 0.0000
Rh1 Rh 0.0000 0.5000 0.5000
Rh2 Rh 0.0677 0.7923 0.5000
```



# 2
# CaSm3Rh
Theoretical X-ray powder pattern, Cu Kα (weighted mean of Kα1 and Kα2). Input: a cell relaxed with PBE.
Intensities are scaled so that the largest is 100.

Main lines, by angle (15° ≤ 2θ ≤ 90°):
- hkl 1 0 1, d 4.547, 19.52°, intensity 18
- hkl 0 0 2, d 3.073, 29.06°, intensity 15
- hkl 2 0 1, d 2.961, 30.18°, intensity 100
- hkl 2 1 0, d 2.555, 35.13°, intensity 16
- hkl 1 1 2, d 2.414, 37.24°, intensity 14
- hkl 2 0 2, d 2.274, 39.64°, intensity 33
- hkl 2 2 0, d 1.951, 46.54°, intensity 29
- hkl 2 0 3, d 1.752, 52.21°, intensity 21
- hkl 2 2 2, d 1.647, 55.81°, intensity 14
- hkl 4 0 1, d 1.629, 56.48°, intensity 16
- hkl 4 2 1, d 1.251, 76.11°, intensity 12
- hkl 2 2 4, d 1.207, 79.38°, intensity 12

Structure:
```
data_CaSm3Rh
_cell_length_a 7.8049
_cell_length_b 7.8049
_cell_length_c 6.1459
_cell_angle_alpha 90.00
_cell_angle_beta 90.00
_cell_angle_gamma 120.00
_space_group_name_H-M_alt 'P 63/m m c'
_space_group_IT_number 194
_space_group_name_Hall '-P 6c 2c'
loop_
_atom_site_label
_atom_site_type_symbol
_atom_site_fract_x
_atom_site_fract_y
_atom_site_fract_z
Ca1 Ca 0.3333 0.6667 0.2500
Sm1 Sm 0.1744 0.3488 0.7500
Rh1 Rh 0.0000 0.0000 0.0000
```



# 3
# CaSm5Rh4
Theoretical X-ray powder pattern, Cu Kα (weighted mean of Kα1 and Kα2). Input: a cell relaxed with PBE.
Intensities are scaled so that the largest is 100.

Main lines, by angle (15° ≤ 2θ ≤ 90°):
- hkl 0 1 3, d 4.469, 19.87°, intensity 25
- hkl 1 0 1, d 4.198, 21.16°, intensity 18
- hkl 1 0 3, d 3.424, 26.02°, intensity 38
- hkl 0 0 6, d 2.802, 31.94°, intensity 42
- hkl 1 2 1, d 2.777, 32.23°, intensity 100
- hkl 1 2 3, d 2.516, 35.69°, intensity 15
- hkl 2 0 0, d 2.167, 41.67°, intensity 27
- hkl 1 2 5, d 2.159, 41.85°, intensity 55
- hkl 0 4 0, d 1.851, 49.21°, intensity 16
- hkl 2 0 6, d 1.715, 53.43°, intensity 27
- hkl 3 2 1, d 1.342, 70.10°, intensity 15
- hkl 2 4 6, d 1.258, 75.58°, intensity 19

Structure:
```
data_CaSm5Rh4
_cell_length_a 4.3347
_cell_length_b 7.4058
_cell_length_c 16.8125
_cell_angle_alpha 90.00
_cell_angle_beta 90.00
_cell_angle_gamma 90.00
_space_group_name_H-M_alt 'I m m m'
_space_group_IT_number 71
_space_group_name_Hall '-I 2 2'
loop_
_atom_site_label
_atom_site_type_symbol
_atom_site_fract_x
_atom_site_fract_y
_atom_site_fract_z
Ca1 Ca 0.0000 0.0000 0.0000
Sm1 Sm 0.0000 0.2563 0.3359
Sm2 Sm 0.0000 0.5000 0.0000
Rh1 Rh 0.0000 0.0000 0.2026
Rh2 Rh 0.0000 0.2344 0.5000
```



# 4
# Ca2Sn6Rh9
Theoretical X-ray powder pattern, Cu Kα (weighted mean of Kα1 and Kα2). Input: a cell relaxed with PBE.
Intensities are scaled so that the largest is 100.

Main lines, by angle (15° ≤ 2θ ≤ 90°):
- hkl 1 0 0, d 5.037, 17.61°, intensity 89
- hkl 1 1 0, d 2.908, 30.75°, intensity 16
- hkl 2 0 0, d 2.518, 35.65°, intensity 20
- hkl 1 1 3, d 2.381, 37.79°, intensity 77
- hkl 2 0 3, d 2.152, 41.98°, intensity 100
- hkl 0 0 6, d 2.073, 43.67°, intensity 22
- hkl 1 0 6, d 1.917, 47.43°, intensity 22
- hkl 3 0 3, d 1.556, 59.39°, intensity 21
- hkl 2 2 0, d 1.454, 64.04°, intensity 25
- hkl 2 1 6, d 1.402, 66.71°, intensity 16
- hkl 4 0 3, d 1.205, 79.56°, intensity 15
- hkl 2 2 6, d 1.190, 80.73°, intensity 22

Structure:
```
data_Ca2Sn6Rh9
_cell_length_a 5.8161
_cell_length_b 5.8161
_cell_length_c 12.4361
_cell_angle_alpha 90.00
_cell_angle_beta 90.00
_cell_angle_gamma 120.00
_space_group_name_H-M_alt 'P 6/m m m'
_space_group_IT_number 191
_space_group_name_Hall '-P 6 2'
loop_
_atom_site_label
_atom_site_type_symbol
_atom_site_fract_x
_atom_site_fract_y
_atom_site_fract_z
Ca1 Ca 0.0000 0.0000 0.2307
Sn1 Sn 0.3333 0.6667 0.0000
Sn2 Sn 0.3333 0.6667 0.3345
Rh1 Rh 0.0000 0.5000 0.1673
Rh2 Rh 0.0000 0.5000 0.5000
```



# 5
# Ca3Sn2Rh2
Theoretical X-ray powder pattern, Cu Kα (weighted mean of Kα1 and Kα2). Input: a cell relaxed with PBE.
Intensities are scaled so that the largest is 100.

Main lines, by angle (15° ≤ 2θ ≤ 90°):
- hkl 1 0 2, d 4.550, 19.51°, intensity 100
- hkl 1 1 4, d 2.851, 31.38°, intensity 16
- hkl 2 1 0, d 2.792, 32.06°, intensity 26
- hkl 1 2 3, d 2.735, 32.74°, intensity 34
- hkl 0 2 4, d 2.670, 33.56°, intensity 30
- hkl 1 3 0, d 2.463, 36.48°, intensity 48
- hkl 1 2 4, d 2.437, 36.89°, intensity 38
- hkl 2 1 3, d 2.404, 37.41°, intensity 86
- hkl 2 1 4, d 2.193, 41.16°, intensity 27
- hkl 0 2 6, d 2.042, 44.35°, intensity 21
- hkl 2 3 2, d 1.926, 47.19°, intensity 17
- hkl 4 0 0, d 1.487, 62.47°, intensity 17

Structure:
```
data_Ca3Sn2Rh2
_cell_length_a 5.9457
_cell_length_b 8.1193
_cell_length_c 14.1791
_cell_angle_alpha 90.00
_cell_angle_beta 90.00
_cell_angle_gamma 90.00
_space_group_name_H-M_alt 'P b c m'
_space_group_IT_number 57
loop_
_space_group_symop_operation_xyz
'x,y,z'
'-x,-y,-z'
'-x,-y,z+1/2'
'x,y,-z+1/2'
'x,-y+1/2,-z'
'-x,y+1/2,z'
'-x,y+1/2,-z+1/2'
'x,-y+1/2,z+1/2'
loop_
_atom_site_label
_atom_site_type_symbol
_atom_site_fract_x
_atom_site_fract_y
_atom_site_fract_z
Ca1 Ca 0.1209 0.2477 0.2500
Ca2 Ca 0.3464 0.6033 0.5935
Sn1 Sn 0.1360 0.2500 0.0000
Sn2 Sn 0.3718 0.5942 0.2500
Rh1 Rh 0.1360 0.5361 0.0918
```



# 6
# Ca2Sn12Rh7
Theoretical X-ray powder pattern, Cu Kα (weighted mean of Kα1 and Kα2). Input: a cell relaxed with PBE.
Intensities are scaled so that the largest is 100.

Main lines, by angle (15° ≤ 2θ ≤ 90°):
- hkl 1 1 0, d 5.606, 15.81°, intensity 22
- hkl 1 0 1, d 3.818, 23.30°, intensity 10
- hkl 1 2 1, d 2.750, 32.56°, intensity 100
- hkl 0 3 1, d 2.553, 35.15°, intensity 14
- hkl 4 -3 1, d 2.260, 39.90°, intensity 36
- hkl 2 3 0, d 2.228, 40.49°, intensity 21
- hkl 4 1 0, d 2.119, 42.67°, intensity 34
- hkl 4 0 1, d 2.096, 43.17°, intensity 25
- hkl 0 0 2, d 2.076, 43.59°, intensity 21
- hkl 5 -4 2, d 1.483, 62.64°, intensity 18
- hkl 3 5 1, d 1.316, 71.74°, intensity 22
- hkl 3 -1 3, d 1.295, 73.07°, intensity 10

Structure:
```
data_Ca2Sn12Rh7
_cell_length_a 11.2125
_cell_length_b 11.2125
_cell_length_c 4.1522
_cell_angle_alpha 90.00
_cell_angle_beta 90.00
_cell_angle_gamma 120.00
_space_group_name_H-M_alt 'P -3'
_space_group_IT_number 147
loop_
_space_group_symop_operation_xyz
'x,y,z'
'-x,-y,-z'
'-y,x-y,z'
'y,-x+y,-z'
'-x+y,-x,z'
'x-y,x,-z'
loop_
_atom_site_label
_atom_site_type_symbol
_atom_site_fract_x
_atom_site_fract_y
_atom_site_fract_z
Ca1 Ca 0.3333 0.6667 0.2438
Sn1 Sn 0.0701 0.6216 0.7538
Sn2 Sn 0.1151 0.8558 0.2474
Rh1 Rh 0.0000 0.0000 0.0000
Rh2 Rh 0.1118 0.4050 0.7364
```